Structure and theoretical XRD peak list of Ac5In2Pb2 (a structure optimized by DFT (PBE); Cu Kα (λ = 1.5418 Å)).
Neutral-atom scattering factors, no anomalous dispersion.

Main lines, low angle first (2θ = 10–80°):
2θ 27.16, d = 3.283 Å, rel. 82; 2θ 28.39, d = 3.143 Å, rel. 55; 2θ 28.63, d = 3.118 Å, rel. 100; 2θ 29.21, d = 3.057 Å, rel. 38; 2θ 30.37, d = 2.943 Å, rel. 61; 2θ 30.67, d = 2.915 Å, rel. 27; 2θ 32.25, d = 2.776 Å, rel. 94; 2θ 41.19, d = 2.191 Å, rel. 38

Crystal structure
abc: 9.814 9.814 8.876
angles: 90.00 90.00 53.97
Atoms (fractional coordinates):
Ac 0.000 0.000 0.000
Ac 0.035 0.684 0.671
Ac 0.184 0.535 0.171
Ac 0.316 0.965 0.671
Ac 0.465 0.816 0.171
Ac 0.500 0.500 0.500
Ac 0.535 0.184 0.829
Ac 0.684 0.035 0.329
Ac 0.816 0.465 0.829
Ac 0.965 0.316 0.329
In 0.119 0.881 0.380
In 0.381 0.619 0.880
In 0.619 0.381 0.120
In 0.881 0.119 0.620
Pb 0.206 0.206 0.000
Pb 0.294 0.294 0.500
Pb 0.706 0.706 0.500
Pb 0.794 0.794 0.000